Entry 1:
The following is a simulated PXRD pattern of Nd2Sm6Th. It was derived from a structure optimized by DFT (GGA-PBE), using Cu Kα (weighted mean of Kα1 and Kα2).

Cell lengths 9.9505, 9.9505, 3.5550 Å; angles 90.09, 90.09, 59.74 degrees
Fractional positions:
1 Nd 0.1668 0.1668 0.9998
2 Nd 0.8332 0.8332 0.0002
3 Sm 0.1693 0.5003 0.5009
4 Sm 0.1696 0.8304 0.5000
5 Sm 0.5003 0.1693 0.5009
6 Sm 0.4997 0.8307 0.4991
7 Sm 0.8304 0.1696 0.5000
8 Sm 0.8307 0.4997 0.4991
9 Th 0.5000 0.5000 0.0000

Most intense lines, 10° ≤ 2θ ≤ 80°, most intense first:
Position (°2θ), intensity
30.9, 100
31.2, 70
31.1, 35
55.4, 33
61.4, 26
44.4, 25
55.2, 13
44.6, 12
51.4, 9
65.1, 9

***

Entry 2:
The following is a simulated PXRD pattern of Nd2Sm6Th. It was derived from a structure optimized by DFT (GGA-PBE), using Cu Kα (weighted mean of Kα1 and Kα2).

Cell lengths 3.6307, 3.6307, 27.1049 Å; angles 90.00, 90.00, 120.00 degrees
Fractional positions:
1 Nd 0.0000 0.0000 0.1701
2 Nd 0.0000 0.0000 0.8299
3 Sm 0.0000 0.0000 0.3918
4 Sm 0.0000 0.0000 0.6082
5 Sm 0.6667 0.3333 0.0631
6 Sm 0.6667 0.3333 0.2831
7 Sm 0.6667 0.3333 0.7169
8 Sm 0.6667 0.3333 0.9369
9 Th 0.6667 0.3333 0.5000

Most intense lines, 10° ≤ 2θ ≤ 80°, most intense first:
Position (°2θ), intensity
32.9, 100
31.4, 67
29.7, 48
28.4, 47
59.5, 40
50.3, 36
55.8, 31
41.5, 31
61.4, 19
78.3, 12

***

Entry 3:
The following is a simulated PXRD pattern of Nd3Sm2Th. It was derived from a structure optimized by DFT (GGA-PBE), using Cu Kα (weighted mean of Kα1 and Kα2).

Cell lengths 9.6547, 9.6547, 9.6547 Å; angles 149.04, 115.19, 73.55 degrees
Fractional positions:
1 Nd 0.0000 0.0000 0.0000
2 Nd 0.1752 0.6682 0.5071
3 Nd 0.3389 0.3318 0.0071
4 Nd 0.5000 0.0000 0.5000
5 Nd 0.6611 0.6682 0.9929
6 Nd 0.8248 0.3318 0.4929
7 Sm 0.0833 0.8333 0.2500
8 Sm 0.2529 0.5029 0.7500
9 Sm 0.7471 0.4971 0.2500
10 Sm 0.9167 0.1667 0.7500
11 Th 0.4191 0.1691 0.2500
12 Th 0.5809 0.8309 0.7500

Most intense lines, 10° ≤ 2θ ≤ 80°, most intense first:
Position (°2θ), intensity
30.0, 100
34.8, 34
59.5, 29
50.0, 24
34.7, 17
59.3, 14
62.3, 12
50.1, 12
73.5, 4
10.3, 4

***

Entry 4:
The following is a simulated PXRD pattern of Nd4Sm3Th2. It was derived from a structure optimized by DFT (GGA-PBE), using Cu Kα (weighted mean of Kα1 and Kα2).

Cell lengths 3.6119, 3.6119, 27.3837 Å; angles 90.00, 90.00, 120.00 degrees
Fractional positions:
1 Nd 0.0000 0.0000 0.0000
2 Nd 0.0000 0.0000 0.2182
3 Nd 0.3333 0.6667 0.3296
4 Nd 0.3333 0.6667 0.5501
5 Sm 0.0000 0.0000 0.4389
6 Sm 0.3333 0.6667 0.1071
7 Sm 0.3333 0.6667 0.7674
8 Th 0.0000 0.0000 0.6587
9 Th 0.0000 0.0000 0.8754

Most intense lines, 10° ≤ 2θ ≤ 80°, most intense first:
Position (°2θ), intensity
33.0, 100
31.4, 71
29.3, 61
28.5, 54
59.5, 47
50.5, 40
41.4, 38
55.4, 32
61.7, 17
34.8, 14

***

Entry 5:
The following is a simulated PXRD pattern of Nd2Sm4Th. It was derived from a structure optimized by DFT (GGA-PBE), using Cu Kα (weighted mean of Kα1 and Kα2).

Cell lengths 3.6538, 3.6538, 20.8049 Å; angles 95.22, 95.22, 59.91 degrees
Fractional positions:
1 Nd 0.0000 0.0000 0.0000
2 Nd 0.0916 0.0916 0.2866
3 Sm 0.2881 0.2881 0.8556
4 Sm 0.3810 0.3810 0.1441
5 Sm 0.8121 0.8121 0.4311
6 Sm 0.9024 0.9024 0.7126
7 Th 0.1894 0.1894 0.5719

Most intense lines, 10° ≤ 2θ ≤ 80°, most intense first:
Position (°2θ), intensity
32.5, 100
31.8, 70
30.2, 57
49.9, 43
28.3, 40
31.7, 35
59.6, 34
59.4, 17
60.4, 17
54.3, 15

***

Entry 6:
The following is a simulated PXRD pattern of Nd5Sm6Th2. It was derived from a structure optimized by DFT (GGA-PBE), using Cu Kα (weighted mean of Kα1 and Kα2).

Cell lengths 11.7050, 21.2414, 3.6369 Å; angles 90.00, 90.00, 90.00 degrees
Fractional positions:
1 Nd 0.0000 0.0000 0.0000
2 Nd 0.0622 0.2938 0.0000
3 Nd 0.1900 0.5803 0.0000
4 Nd 0.3100 0.0803 0.0000
5 Nd 0.4378 0.7938 0.0000
6 Nd 0.5000 0.5000 0.0000
7 Nd 0.5622 0.2062 0.0000
8 Nd 0.6900 0.9197 0.0000
9 Nd 0.8100 0.4197 0.0000
10 Nd 0.9378 0.7062 0.0000
11 Sm 0.0642 0.1473 0.5000
12 Sm 0.0814 0.4377 0.5000
13 Sm 0.1853 0.8754 0.0000
14 Sm 0.3147 0.3754 0.0000
15 Sm 0.4186 0.9377 0.5000
16 Sm 0.4358 0.6473 0.5000
17 Sm 0.5642 0.3527 0.5000
18 Sm 0.5814 0.0623 0.5000
19 Sm 0.6853 0.6246 0.0000
20 Sm 0.8147 0.1246 0.0000
21 Sm 0.9186 0.5623 0.5000
22 Sm 0.9358 0.8527 0.5000
23 Th 0.1920 0.7345 0.5000
24 Th 0.3080 0.2345 0.5000
25 Th 0.6920 0.7655 0.5000
26 Th 0.8080 0.2655 0.5000

Most intense lines, 10° ≤ 2θ ≤ 80°, most intense first:
Position (°2θ), intensity
30.8, 100
31.6, 74
33.6, 55
30.4, 49
28.6, 26
34.2, 20
60.1, 20
30.1, 19
36.1, 19
50.2, 19

***

Entry 7:
The following is a simulated PXRD pattern of Nd5Sm4Th2. It was derived from a structure optimized by DFT (GGA-PBE), using Cu Kα (weighted mean of Kα1 and Kα2).

Cell lengths 9.0331, 3.5247, 12.0017 Å; angles 90.00, 94.26, 90.00 degrees
Fractional positions:
1 Nd 0.0000 0.0000 0.0000
2 Nd 0.0795 0.0000 0.2877
3 Nd 0.3051 0.0000 0.8321
4 Nd 0.6949 0.0000 0.1679
5 Nd 0.9205 0.0000 0.7123
6 Sm 0.1967 0.5000 0.5472
7 Sm 0.3434 0.5000 0.1061
8 Sm 0.6566 0.5000 0.8939
9 Sm 0.8033 0.5000 0.4528
10 Th 0.4568 0.0000 0.3696
11 Th 0.5432 0.0000 0.6304

Most intense lines, 10° ≤ 2θ ≤ 80°, most intense first:
Position (°2θ), intensity
30.8, 100
30.1, 68
31.0, 64
32.2, 28
33.5, 27
31.4, 26
28.4, 23
55.5, 20
29.4, 19
61.7, 19

***

Entry 8:
The following is a simulated PXRD pattern of Nd10Sm4Th. It was derived from a structure optimized by DFT (GGA-PBE), using Cu Kα (weighted mean of Kα1 and Kα2).

Cell lengths 9.7323, 9.7323, 9.7323 Å; angles 96.91, 96.91, 139.42 degrees
Fractional positions:
1 Nd 0.0458 0.6301 0.1623
2 Nd 0.1165 0.9542 0.5843
3 Nd 0.2500 0.7500 0.5000
4 Nd 0.3699 0.5322 0.4157
5 Nd 0.4678 0.8835 0.8377
6 Nd 0.5322 0.1165 0.1623
7 Nd 0.6301 0.4678 0.5843
8 Nd 0.7500 0.2500 0.5000
9 Nd 0.8835 0.0458 0.4157
10 Nd 0.9542 0.3699 0.8377
11 Sm 0.3286 0.4338 0.7623
12 Sm 0.4338 0.6714 0.1052
13 Sm 0.5662 0.3286 0.8948
14 Sm 0.6714 0.5662 0.2377
15 Th 0.0000 0.0000 0.0000

Most intense lines, 10° ≤ 2θ ≤ 80°, most intense first:
Position (°2θ), intensity
28.2, 100
31.0, 88
34.5, 69
44.7, 33
35.5, 30
39.9, 28
63.9, 27
31.5, 25
20.2, 24
21.8, 23

***

Entry 9:
The following is a simulated PXRD pattern of Nd3SmTh. It was derived from a structure optimized by DFT (GGA-PBE), using Cu Kα (weighted mean of Kα1 and Kα2).

Cell lengths 3.6540, 3.6540, 29.6923 Å; angles 90.00, 90.00, 120.00 degrees
Fractional positions:
1 Nd 0.0000 0.0000 0.0000
2 Nd 0.0000 0.0000 0.5000
3 Nd 0.3333 0.6667 0.1045
4 Nd 0.3333 0.6667 0.7972
5 Nd 0.6667 0.3333 0.2972
6 Nd 0.6667 0.3333 0.6045
7 Sm 0.3333 0.6667 0.4015
8 Sm 0.6667 0.3333 0.9015
9 Th 0.0000 0.0000 0.2006
10 Th 0.0000 0.0000 0.7006

Most intense lines, 10° ≤ 2θ ≤ 80°, most intense first:
Position (°2θ), intensity
30.7, 100
33.6, 85
29.6, 74
30.1, 67
59.4, 59
49.9, 50
35.4, 40
51.9, 21
28.8, 21
57.6, 19

***

Entry 10:
The following is a simulated PXRD pattern of Nd2Sm4Th5. It was derived from a structure optimized by DFT (GGA-PBE), using Cu Kα (weighted mean of Kα1 and Kα2).

Cell lengths 8.9173, 3.4831, 11.8644 Å; angles 90.00, 94.05, 90.00 degrees
Fractional positions:
1 Nd 0.0554 0.0000 0.1362
2 Nd 0.9446 0.0000 0.8638
3 Sm 0.1596 0.5000 0.4073
4 Sm 0.3066 0.5000 0.9447
5 Sm 0.6934 0.5000 0.0553
6 Sm 0.8404 0.5000 0.5927
7 Th 0.2105 0.0000 0.6778
8 Th 0.4221 0.0000 0.2168
9 Th 0.5000 0.0000 0.5000
10 Th 0.5779 0.0000 0.7832
11 Th 0.7895 0.0000 0.3222

Most intense lines, 10° ≤ 2θ ≤ 80°, most intense first:
Position (°2θ), intensity
31.2, 100
30.6, 67
31.4, 65
29.8, 28
31.8, 26
33.9, 22
62.4, 19
62.5, 19
62.0, 18
28.7, 18

***

Entry 11:
The following is a simulated PXRD pattern of Nd3Sm8Th2. It was derived from a structure optimized by DFT (GGA-PBE), using Cu Kα (weighted mean of Kα1 and Kα2).

Cell lengths 6.6445, 8.9286, 16.3434 Å; angles 92.45, 100.89, 109.27 degrees
Fractional positions:
1 Nd 0.0000 0.0000 0.0000
2 Nd 0.0000 0.5000 0.5000
3 Nd 0.1814 0.1510 0.7907
4 Nd 0.2919 0.6372 0.2801
5 Nd 0.7081 0.3628 0.7199
6 Nd 0.8186 0.8490 0.2093
7 Sm 0.0031 0.2466 0.1853
8 Sm 0.0324 0.4036 0.9126
9 Sm 0.1614 0.8640 0.6230
10 Sm 0.2531 0.2253 0.5733
11 Sm 0.2570 0.5355 0.7247
12 Sm 0.3999 0.0457 0.1977
13 Sm 0.4106 0.3353 0.4009
14 Sm 0.4164 0.7999 0.0021
15 Sm 0.5836 0.2001 0.9979
16 Sm 0.5894 0.6647 0.5991
17 Sm 0.6001 0.9543 0.8023
18 Sm 0.7430 0.4645 0.2753
19 Sm 0.7469 0.7747 0.4267
20 Sm 0.8386 0.1360 0.3770
21 Sm 0.9676 0.5964 0.0874
22 Sm 0.9969 0.7534 0.8147
23 Th 0.2852 0.9277 0.4212
24 Th 0.4156 0.4640 0.0985
25 Th 0.5844 0.5360 0.9015
26 Th 0.7148 0.0723 0.5788

Most intense lines, 10° ≤ 2θ ≤ 80°, most intense first:
Position (°2θ), intensity
30.9, 100
32.1, 56
31.3, 43
31.1, 41
31.5, 37
33.8, 19
29.4, 18
28.9, 17
29.7, 14
56.2, 13

***

Entry 12:
The following is a simulated PXRD pattern of Nd2SmTh4. It was derived from a structure optimized by DFT (GGA-PBE), using Cu Kα (weighted mean of Kα1 and Kα2).

Cell lengths 18.3911, 18.3911, 3.5933 Å; angles 90.00, 90.00, 168.78 degrees
Fractional positions:
1 Nd 0.2059 0.7941 0.0000
2 Nd 0.7941 0.2059 0.0000
3 Sm 0.5000 0.5000 0.5000
4 Th 0.0714 0.9286 0.0000
5 Th 0.3624 0.6376 0.5000
6 Th 0.6376 0.3624 0.5000
7 Th 0.9286 0.0714 0.0000

Most intense lines, 10° ≤ 2θ ≤ 80°, most intense first:
Position (°2θ), intensity
30.2, 100
35.4, 66
31.7, 62
51.9, 39
28.8, 35
34.3, 31
60.2, 30
50.8, 25
62.7, 22
61.1, 19

***

Entry 13:
The following is a simulated PXRD pattern of Nd5Sm2Th. It was derived from a structure optimized by DFT (GGA-PBE), using Cu Kα (weighted mean of Kα1 and Kα2).

Cell lengths 7.2974, 14.6024, 5.1876 Å; angles 90.00, 90.00, 90.00 degrees
Fractional positions:
1 Nd 0.0000 0.0000 0.0000
2 Nd 0.0020 0.2517 0.0000
3 Nd 0.2446 0.3779 0.5000
4 Nd 0.2554 0.8779 0.5000
5 Nd 0.4980 0.7517 0.0000
6 Nd 0.5000 0.5000 0.0000
7 Nd 0.5020 0.2483 0.0000
8 Nd 0.7446 0.1221 0.5000
9 Nd 0.7554 0.6221 0.5000
10 Nd 0.9980 0.7483 0.0000
11 Sm 0.2421 0.6219 0.5000
12 Sm 0.2579 0.1219 0.5000
13 Sm 0.7421 0.8781 0.5000
14 Sm 0.7579 0.3781 0.5000
15 Th 0.0000 0.5000 0.0000
16 Th 0.5000 0.0000 0.0000

Most intense lines, 10° ≤ 2θ ≤ 80°, most intense first:
Position (°2θ), intensity
29.9, 100
34.8, 34
59.4, 29
49.8, 24
34.6, 17
59.1, 15
62.2, 12
50.0, 12
73.4, 4
72.9, 2